Starting from a GGA-PBE-relaxed structure, the X-ray diffraction stick pattern of KRbHgPt was computed for Cu Kα.

Top 10 peaks for 15° ≤ 2θ ≤ 90°, in order of rising 2θ:
2θ/deg  Rel. int.  hkl
21.45  346  0 0 2
25.71  693  1 1 1
27.91  800  2 0 1
32.42  310  0 0 3
33.12  432  2 0 -3
37.30  1000  0 2 0
38.91  997  3 1 -2
43.44  375  3 1 1
50.24  556  3 1 2
58.78  517  0 2 4

Crystal structure
a = 8.3485 Å, b = 4.8220 Å, c = 8.7439 Å
α = 90.00°, β = 108.65°, γ = 90.00°
Space group Cm (No. 8)
Inequivalent atoms, fractional coordinates:
1 K 0.0000 0.0000 0.0000
2 Rb 0.3295 0.5000 0.4916
3 Hg 0.0865 0.5000 0.7607
4 Pt 0.2521 0.0000 0.7578

---

Starting from a GGA-PBE-relaxed structure, the X-ray diffraction stick pattern of CuB3Pt9 was computed for Cu Kα.

Top 10 peaks for 15° ≤ 2θ ≤ 90°, in order of rising 2θ:
2θ/deg  Rel. int.  hkl
20.13  215  1 0 0
23.30  119  0 1 1
23.45  119  0 1 -2
34.06  200  0 0 3
34.74  399  1 0 -3
38.51  1000  1 -2 1
40.91  400  2 0 0
44.55  281  1 0 3
47.63  204  0 2 2
47.95  199  0 2 -4

Crystal structure
a = 4.5776 Å, b = 5.5134 Å, c = 8.6238 Å
α = 108.28°, β = 104.65°, γ = 90.05°
Space group P1 (No. 1)
Inequivalent atoms, fractional coordinates:
1 Cu 0.0000 0.0000 0.0000
2 B 0.1847 0.5145 0.5348
3 B 0.1855 0.0251 0.5353
4 B 0.7033 0.4936 0.9880
5 Pt 0.0152 0.1719 0.3374
6 Pt 0.0709 0.4482 0.8930
7 Pt 0.5293 0.6411 0.7775
8 Pt 0.5295 0.1392 0.7781
9 Pt 0.5295 0.3020 0.1194
10 Pt 0.5329 0.8167 0.1192
11 Pt 0.5576 0.4782 0.4445
12 Pt 0.5588 0.9742 0.4449
13 Pt 0.9976 0.8317 0.6611

---

Starting from a GGA-PBE-relaxed structure, the X-ray diffraction stick pattern of CaAcGa2Pt2 was computed for Cu Kα.

Top 10 peaks for 15° ≤ 2θ ≤ 90°, in order of rising 2θ:
2θ/deg  Rel. int.  hkl
25.59  573  1 0 1
32.40  1000  0 1 2
40.25  649  1 1 0
46.13  122  0 0 4
48.31  109  0 2 1
52.59  257  2 0 2
53.81  123  1 1 3
62.86  292  1 1 4
68.24  235  1 2 2
73.16  112  3 0 0

Crystal structure
a = 4.4810 Å, b = 4.4810 Å, c = 7.8708 Å
α = 90.00°, β = 90.00°, γ = 120.00°
Space group P-3m1 (No. 164)
Inequivalent atoms, fractional coordinates:
1 Ca 0.0000 0.0000 0.0000
2 Ac 0.0000 0.0000 0.5000
3 Ga 0.3333 0.6667 0.7812
4 Pt 0.3333 0.6667 0.2349

---

Starting from a GGA-PBE-relaxed structure, the X-ray diffraction stick pattern of LiPuCl was computed for Cu Kα.

Top 10 peaks for 15° ≤ 2θ ≤ 90°, in order of rising 2θ:
2θ/deg  Rel. int.  hkl
21.33  1000  0 0 2
27.88  322  1 1 0
29.05  569  1 1 -1
30.74  325  1 1 1
32.23  594  0 0 3
36.80  412  1 1 2
42.52  483  3 1 -1
42.95  251  3 1 0
44.95  492  3 1 -2
46.16  316  3 1 1

Crystal structure
a = 8.0810 Å, b = 3.4999 Å, c = 8.5112 Å
α = 90.00°, β = 101.81°, γ = 90.00°
Space group C2/m (No. 12)
Inequivalent atoms, fractional coordinates:
1 Li 0.1214 0.0000 0.3242
2 Pu 0.1487 0.5000 0.9923
3 Cl 0.1749 0.0000 0.6591

---

Starting from a GGA-PBE-relaxed structure, the X-ray diffraction stick pattern of Sr2LiTa2N2O4 was computed for Cu Kα.

Top 10 peaks for 15° ≤ 2θ ≤ 90°, in order of rising 2θ:
2θ/deg  Rel. int.  hkl
20.97  166  0 2 0
21.75  210  0 0 2
30.40  1000  0 2 2
30.95  520  2 0 2
42.69  133  0 4 0
44.28  143  0 0 4
44.40  146  4 0 0
53.66  166  2 4 2
54.71  400  4 2 2
63.24  149  4 4 0

Crystal structure
a = 8.1613 Å, b = 8.4715 Å, c = 8.1821 Å
α = 90.00°, β = 90.00°, γ = 90.00°
Space group Fmm2 (No. 42)
Inequivalent atoms, fractional coordinates:
1 Sr 0.0000 0.2118 0.0000
2 Li 0.0000 0.0000 0.4345
3 Ta 0.2438 0.0000 0.7339
4 N 0.2500 0.2500 0.2336
5 O 0.0000 0.0000 0.2090
6 O 0.0000 0.0000 0.7632
7 O 0.2205 0.0000 0.4841

---

Starting from a GGA-PBE-relaxed structure, the X-ray diffraction stick pattern of Sr2In2Bi2As was computed for Cu Kα.

Top 10 peaks for 15° ≤ 2θ ≤ 90°, in order of rising 2θ:
2θ/deg  Rel. int.  hkl
29.12  1000  1 0 -2
29.42  337  0 2 0
30.17  305  1 -2 0
30.89  146  0 1 2
41.12  149  1 2 -2
41.62  200  2 -1 0
41.68  238  0 1 -4
42.56  199  1 1 2
60.32  94  2 0 -4
68.38  127  3 -2 2

Crystal structure
a = 4.3395 Å, b = 6.9011 Å, c = 8.6796 Å
α = 110.78°, β = 90.08°, γ = 108.19°
Space group P-1 (No. 2)
Inequivalent atoms, fractional coordinates:
1 Sr 0.0140 0.0258 0.2599
2 In 0.2779 0.5539 0.8896
3 Bi 0.2973 0.5986 0.4010
4 As 0.5000 0.0000 0.0000

---

Starting from a GGA-PBE-relaxed structure, the X-ray diffraction stick pattern of Ti8Mo2Os was computed for Cu Kα.

Top 10 peaks for 15° ≤ 2θ ≤ 90°, in order of rising 2θ:
2θ/deg  Rel. int.  hkl
20.32  110  1 1 0
20.43  124  2 0 -1
21.05  109  2 0 1
23.81  117  4 0 0
26.46  329  1 1 -1
39.49  1000  0 2 0
40.38  587  1 1 2
40.61  293  6 0 1
57.89  195  6 2 1
72.12  190  1 3 2

Crystal structure
a = 14.9535 Å, b = 4.5711 Å, c = 5.2286 Å
α = 90.00°, β = 91.82°, γ = 90.00°
Space group C2/m (No. 12)
Inequivalent atoms, fractional coordinates:
1 Ti 0.0457 0.0000 0.2413
2 Ti 0.0857 0.5000 0.9346
3 Ti 0.1425 0.0000 0.7276
4 Ti 0.1774 0.5000 0.4296
5 Mo 0.2295 0.0000 0.1476
6 Os 0.0000 0.5000 0.5000

---

Starting from a GGA-PBE-relaxed structure, the X-ray diffraction stick pattern of Rb3Au2 was computed for Cu Kα.

Top 10 peaks for 15° ≤ 2θ ≤ 90°, in order of rising 2θ:
2θ/deg  Rel. int.  hkl
18.69  305  1 0 4
20.77  318  1 1 0
23.43  358  1 1 3
28.08  164  0 2 4
30.10  1000  1 1 6
35.18  161  2 1 4
36.38  479  3 0 0
47.91  277  2 2 6
58.31  286  3 0 12
61.62  257  4 1 6

Crystal structure
a = 8.5542 Å, b = 8.5542 Å, c = 24.7491 Å
α = 90.00°, β = 90.00°, γ = 120.00°
Space group R-3c (No. 167, hexagonal axes)
Inequivalent atoms, fractional coordinates:
1 Rb 0.0000 0.3181 0.2500
2 Au 0.0000 0.0000 0.1611

---

Starting from a GGA-PBE-relaxed structure, the X-ray diffraction stick pattern of SrB4S7 was computed for Cu Kα.

Top 10 peaks for 15° ≤ 2θ ≤ 90°, in order of rising 2θ:
2θ/deg  Rel. int.  hkl
26.84  206  2 1 1
31.44  223  4 1 0
32.39  243  0 2 0
33.61  437  0 0 2
35.77  1000  4 1 1
36.62  296  0 2 1
47.39  158  0 2 2
57.18  158  4 3 0
61.51  198  4 1 3
67.98  151  4 3 2

Crystal structure
a = 13.2729 Å, b = 5.5287 Å, c = 5.3326 Å
α = 90.00°, β = 90.00°, γ = 90.00°
Space group Pmn2_1 (No. 31)
Inequivalent atoms, fractional coordinates:
1 Sr 0.0000 0.1908 0.0000
2 B 0.1232 0.6718 0.5943
3 B 0.2479 0.1750 0.5751
4 S 0.0000 0.8166 0.4755
5 S 0.1252 0.3370 0.5015
6 S 0.1260 0.7153 0.9526
7 S 0.2390 0.8419 0.4524

---

Starting from a GGA-PBE-relaxed structure, the X-ray diffraction stick pattern of LaErMgAl was computed for Cu Kα.

Top 10 peaks for 15° ≤ 2θ ≤ 90°, in order of rising 2θ:
2θ/deg  Rel. int.  hkl
23.66  600  2 0 0
33.71  1000  2 2 0
41.61  185  2 2 2
48.42  180  4 0 0
54.58  253  4 2 0
60.30  372  4 2 2
70.89  114  4 4 0
75.92  120  6 0 0
80.84  160  6 2 0
85.70  72  6 2 2

Crystal structure
a = 7.5195 Å, b = 7.5195 Å, c = 7.5195 Å
α = 90.00°, β = 90.00°, γ = 90.00°
Space group F-43m (No. 216)
Inequivalent atoms, fractional coordinates:
1 La 0.0000 0.0000 0.0000
2 Er 0.0000 0.0000 0.5000
3 Mg 0.2500 0.2500 0.2500
4 Al 0.2500 0.2500 0.7500

---

Starting from a GGA-PBE-relaxed structure, the X-ray diffraction stick pattern of Ac3SnPb2 was computed for Cu Kα.

Top 10 peaks for 15° ≤ 2θ ≤ 90°, in order of rising 2θ:
2θ/deg  Rel. int.  hkl
25.97  631  2 1 2
27.17  918  0 1 3
27.93  683  1 0 4
29.26  391  4 0 2
29.80  1000  3 1 2
32.36  650  4 1 1
35.27  337  2 1 4
36.26  749  0 2 0
39.49  380  3 0 5
54.69  302  3 2 5

Crystal structure
a = 13.7885 Å, b = 4.9546 Å, c = 13.1428 Å
α = 90.00°, β = 90.00°, γ = 90.00°
Space group Pnma (No. 62)
Inequivalent atoms, fractional coordinates:
1 Ac 0.0488 0.2500 0.1195
2 Ac 0.1215 0.7500 0.5582
3 Ac 0.2244 0.2500 0.7980
4 Sn 0.1262 0.2500 0.3728
5 Pb 0.0010 0.2500 0.7005
6 Pb 0.1884 0.7500 0.0165

---

Starting from a GGA-PBE-relaxed structure, the X-ray diffraction stick pattern of TbPm12In6 was computed for Cu Kα.

Top 10 peaks for 15° ≤ 2θ ≤ 90°, in order of rising 2θ:
2θ/deg  Rel. int.  hkl
24.03  203  3 -1 1
31.74  691  0 1 5
32.22  891  0 3 3
32.45  833  4 -3 1
33.84  509  2 1 4
34.18  1000  3 1 2
35.78  188  4 -2 3
55.55  184  1 2 8
56.09  175  1 4 6
60.11  196  7 -5 3

Crystal structure
a = 11.6949 Å, b = 11.6949 Å, c = 14.6749 Å
α = 90.00°, β = 90.00°, γ = 120.00°
Space group R-3 (No. 148, hexagonal axes)
Inequivalent atoms, fractional coordinates:
1 Tb 0.0000 0.0000 0.0000
2 Pm 0.0627 0.2179 0.4098
3 Pm 0.0701 0.8803 0.8065
4 In 0.0304 0.5906 0.7129

---

Repeat the third record exactly.
Starting from a GGA-PBE-relaxed structure, the X-ray diffraction stick pattern of CaAcGa2Pt2 was computed for Cu Kα.

Top 10 peaks for 15° ≤ 2θ ≤ 90°, in order of rising 2θ:
2θ/deg  Rel. int.  hkl
25.59  573  1 0 1
32.40  1000  0 1 2
40.25  649  1 1 0
46.13  122  0 0 4
48.31  109  0 2 1
52.59  257  2 0 2
53.81  123  1 1 3
62.86  292  1 1 4
68.24  235  1 2 2
73.16  112  3 0 0

Crystal structure
a = 4.4810 Å, b = 4.4810 Å, c = 7.8708 Å
α = 90.00°, β = 90.00°, γ = 120.00°
Space group P-3m1 (No. 164)
Inequivalent atoms, fractional coordinates:
1 Ca 0.0000 0.0000 0.0000
2 Ac 0.0000 0.0000 0.5000
3 Ga 0.3333 0.6667 0.7812
4 Pt 0.3333 0.6667 0.2349

---

What did the fourth record say?
Starting from a GGA-PBE-relaxed structure, the X-ray diffraction stick pattern of LiPuCl was computed for Cu Kα.

Top 10 peaks for 15° ≤ 2θ ≤ 90°, in order of rising 2θ:
2θ/deg  Rel. int.  hkl
21.33  1000  0 0 2
27.88  322  1 1 0
29.05  569  1 1 -1
30.74  325  1 1 1
32.23  594  0 0 3
36.80  412  1 1 2
42.52  483  3 1 -1
42.95  251  3 1 0
44.95  492  3 1 -2
46.16  316  3 1 1

Crystal structure
a = 8.0810 Å, b = 3.4999 Å, c = 8.5112 Å
α = 90.00°, β = 101.81°, γ = 90.00°
Space group C2/m (No. 12)
Inequivalent atoms, fractional coordinates:
1 Li 0.1214 0.0000 0.3242
2 Pu 0.1487 0.5000 0.9923
3 Cl 0.1749 0.0000 0.6591